Calculated powder X-ray diffraction pattern
Compound: HfZnN2
Radiation: a wavelength of 1.5418 Å
Structure: a PBE-relaxed structure
Intensities are scaled so that the largest is 100.

Crystal structure
Unit cell a=3.2645 b=3.2645 c=5.3225 alpha=90.00 beta=90.00 gamma=120.00
Space group P3m1 (No. 156)
Unique sites:
Hf1 0.0000 0.0000 0.0000 x1
Zn1 0.3333 0.6667 0.5508 x1
N1 0.3333 0.6667 0.1840 x1
N2 0.6667 0.3333 0.7483 x1

Peak list (10 most intense, 2θ = 5–70°, by angle)
| 2theta | I (rel.) | h k l |
| --- | --- | --- |
| 16.66 | 32.1 | 0 0 1 |
| 31.65 | 30.0 | 1 0 0 |
| 33.68 | 20.3 | 0 0 2 |
| 35.97 | 100.0 | 0 1 1 |
| 46.89 | 31.2 | 0 1 2 |
| 56.37 | 21.4 | 1 1 0 |
| 59.21 | 7.1 | 1 1 1 |
| 61.73 | 21.2 | 1 0 3 |
| 67.29 | 17.1 | 1 1 2 |
| 68.70 | 15.1 | 2 0 1 |